Diffraction record for Cs2KFeF6. The X-ray diffraction stick pattern is theoretical, not measured: it uses a cell relaxed with PBE+U and a wavelength of 1.5418 Å.
Lines closer than 0.1° are merged.

Most intense lines, 2θ = 15–90°, in order of falling intensity:
d/Å  2θ/deg  I_rel
3.256  27.40  100
2.302  39.13  37
1.880  48.43  37
2.658  33.72  26
1.628  56.54  22
1.230  77.59  21
1.456  63.94  20
4.604  19.28  13
2.059  43.98  9
1.388  67.47  8

Structural model:
Lattice parameters (Å, degrees): 6.511 6.511 6.511 60.00 60.00 60.00
Sites, in units of the cell vectors:
Cs: 0.250 0.250 0.250
Cs: 0.750 0.750 0.750
K: 0.000 0.000 0.000
Fe: 0.500 0.500 0.500
F: 0.286 0.286 0.714
F: 0.286 0.714 0.286
F: 0.286 0.714 0.714
F: 0.714 0.286 0.286
F: 0.714 0.286 0.714
F: 0.714 0.714 0.286

---

Diffraction record for Cs4KLiFe2F12. The X-ray diffraction stick pattern is theoretical, not measured: it uses a cell relaxed with PBE+U and a wavelength of 1.5418 Å.
Lines closer than 0.1° are merged.

Most intense lines, 2θ = 15–90°, in order of falling intensity:
d/Å  2θ/deg  I_rel
3.503  25.43  100
3.226  27.65  95
2.373  37.91  66
1.912  47.56  29
1.614  57.08  20
2.554  35.13  19
1.863  48.89  18
1.466  63.48  18
2.086  43.37  17
1.539  60.11  15

Structural model:
Lattice parameters (Å, degrees): 11.133 11.133 11.133 33.70 33.70 33.70
Sites, in units of the cell vectors:
Cs: 0.133 0.133 0.133
Cs: 0.285 0.285 0.285
Cs: 0.715 0.715 0.715
Cs: 0.867 0.867 0.867
K: 0.000 0.000 0.000
Li: 0.500 0.500 0.500
Fe: 0.416 0.416 0.416
Fe: 0.584 0.584 0.584
F: 0.180 0.594 0.594
F: 0.237 0.237 0.672
F: 0.237 0.672 0.237
F: 0.328 0.763 0.763
F: 0.406 0.406 0.820
F: 0.406 0.820 0.406
F: 0.594 0.180 0.594
F: 0.594 0.594 0.180
F: 0.672 0.237 0.237
F: 0.763 0.328 0.763
F: 0.763 0.763 0.328
F: 0.820 0.406 0.406

---

Diffraction record for CsMgFeF6. The X-ray diffraction stick pattern is theoretical, not measured: it uses a cell relaxed with PBE+U and a wavelength of 1.5418 Å.
Lines closer than 0.1° are merged.

Most intense lines, 2θ = 15–90°, in order of falling intensity:
d/Å  2θ/deg  I_rel
3.181  28.05  100
3.164  28.20  73
3.720  23.92  52
1.860  48.97  40
2.017  44.94  27
3.695  24.09  23
1.664  55.21  21
2.630  34.09  21
2.409  37.33  17
2.033  44.56  16

Structural model:
Lattice parameters (Å, degrees): 7.440 7.440 7.440 120.45 119.61 89.95
Sites, in units of the cell vectors:
Cs: 0.371 0.121 0.250
Cs: 0.629 0.879 0.750
Mg: 0.000 0.000 0.500
Mg: 0.000 0.500 0.000
Fe: 0.000 0.500 0.500
Fe: 0.500 0.500 0.000
F: 0.066 0.816 0.250
F: 0.067 0.434 0.256
F: 0.067 0.811 0.633
F: 0.317 0.567 0.750
F: 0.322 0.189 0.756
F: 0.322 0.566 0.133
F: 0.678 0.434 0.867
F: 0.678 0.811 0.244
F: 0.683 0.433 0.250
F: 0.933 0.189 0.367
F: 0.933 0.566 0.744
F: 0.934 0.184 0.750

---

Diffraction record for CsMnFeF6. The X-ray diffraction stick pattern is theoretical, not measured: it uses a cell relaxed with PBE+U and a wavelength of 1.5418 Å.
Lines closer than 0.1° are merged.

Most intense lines, 2θ = 15–90°, in order of falling intensity:
d/Å  2θ/deg  I_rel
3.254  27.41  100
3.812  23.34  50
1.907  47.68  45
3.245  27.49  40
2.073  43.67  25
3.112  28.69  24
2.078  43.55  18
1.406  66.51  13
2.475  36.30  11
1.404  66.62  11

Structural model:
Lattice parameters (Å, degrees): 7.629 7.629 7.629 120.24 119.97 89.81
Sites, in units of the cell vectors:
Cs: 0.370 0.120 0.250
Cs: 0.630 0.880 0.750
Mn: 0.000 0.000 0.500
Mn: 0.000 0.500 0.000
Fe: 0.000 0.500 0.500
Fe: 0.500 0.500 0.000
F: 0.079 0.438 0.274
F: 0.079 0.805 0.641
F: 0.082 0.832 0.250
F: 0.305 0.555 0.750
F: 0.336 0.195 0.774
F: 0.336 0.562 0.141
F: 0.664 0.438 0.859
F: 0.664 0.805 0.226
F: 0.695 0.445 0.250
F: 0.918 0.168 0.750
F: 0.921 0.195 0.359
F: 0.921 0.562 0.726

---

Diffraction record for Cs2FeOF5. The X-ray diffraction stick pattern is theoretical, not measured: it uses a cell relaxed with PBE+U and a wavelength of 1.5418 Å.
Lines closer than 0.1° are merged.

Most intense lines, 2θ = 15–90°, in order of falling intensity:
d/Å  2θ/deg  I_rel
3.433  25.96  100
2.662  33.67  98
3.149  28.34  94
3.219  27.71  84
5.324  16.65  65
1.796  50.84  62
2.589  34.65  43
2.367  38.01  43
4.735  18.74  36
4.217  21.07  34

Structural model:
Lattice parameters (Å, degrees): 6.529 6.529 9.470 90.00 90.00 80.47
Sites, in units of the cell vectors:
Cs: 0.213 0.213 0.000
Cs: 0.213 0.213 0.500
Cs: 0.787 0.787 0.000
Cs: 0.787 0.787 0.500
Fe: 0.271 0.729 0.750
Fe: 0.729 0.271 0.250
O: 0.480 0.520 0.250
O: 0.520 0.480 0.750
F: 0.044 0.956 0.750
F: 0.107 0.505 0.750
F: 0.298 0.702 0.546
F: 0.298 0.702 0.954
F: 0.495 0.893 0.750
F: 0.505 0.107 0.250
F: 0.702 0.298 0.046
F: 0.702 0.298 0.454
F: 0.893 0.495 0.250
F: 0.956 0.044 0.250

---

Diffraction record for Cs2Fe2P3O8F7. The X-ray diffraction stick pattern is theoretical, not measured: it uses a cell relaxed with PBE+U and a wavelength of 1.5418 Å.
Lines closer than 0.1° are merged.

Most intense lines, 2θ = 15–90°, in order of falling intensity:
d/Å  2θ/deg  I_rel
3.494  25.50  100
3.420  26.05  32
2.767  32.35  24
3.591  24.79  21
4.627  19.18  19
2.670  33.56  15
3.936  22.59  13
2.276  39.61  12
2.698  33.21  11
2.514  35.71  9

Structural model:
Lattice parameters (Å, degrees): 11.969 8.338 8.338 61.06 90.00 90.00
Sites, in units of the cell vectors:
Cs: 0.157 0.134 0.866
Cs: 0.343 0.634 0.366
Cs: 0.657 0.366 0.634
Cs: 0.843 0.866 0.134
Fe: 0.067 0.979 0.406
Fe: 0.433 0.479 0.906
Fe: 0.567 0.906 0.479
Fe: 0.933 0.406 0.979
P: 0.000 0.379 0.379
P: 0.169 0.653 0.814
P: 0.331 0.153 0.314
P: 0.500 0.879 0.879
P: 0.669 0.314 0.153
P: 0.831 0.814 0.653
O: 0.026 0.179 0.481
O: 0.087 0.496 0.871
O: 0.132 0.836 0.656
O: 0.213 0.100 0.290
O: 0.287 0.600 0.790
O: 0.368 0.336 0.156
O: 0.413 0.996 0.371
O: 0.474 0.679 0.981
O: 0.526 0.981 0.679
O: 0.587 0.371 0.996
O: 0.632 0.156 0.336
O: 0.713 0.790 0.600
O: 0.787 0.290 0.100
O: 0.868 0.656 0.836
O: 0.913 0.871 0.496
O: 0.974 0.481 0.179
F: 0.000 0.159 0.159
F: 0.088 0.827 0.299
F: 0.098 0.475 0.425
F: 0.177 0.695 0.983
F: 0.323 0.195 0.483
F: 0.402 0.975 0.925
F: 0.412 0.327 0.799
F: 0.500 0.659 0.659
F: 0.588 0.799 0.327
F: 0.598 0.925 0.975
F: 0.677 0.483 0.195
F: 0.823 0.983 0.695
F: 0.902 0.425 0.475
F: 0.912 0.299 0.827

---

Diffraction record for CsGaNiF6. The X-ray diffraction stick pattern is theoretical, not measured: it uses a cell relaxed with PBE+U and a wavelength of 1.5418 Å.
Lines closer than 0.1° are merged.

Most intense lines, 2θ = 15–90°, in order of falling intensity:
d/Å  2θ/deg  I_rel
3.145  28.38  100
3.133  28.49  42
3.686  24.15  36
1.842  49.48  35
2.008  45.15  25
2.000  45.34  19
3.000  29.78  16
3.014  29.64  14
1.359  69.14  12
1.847  49.35  10

Structural model:
Lattice parameters (Å, degrees): 7.369 7.369 7.369 120.31 119.84 89.87
Sites, in units of the cell vectors:
Cs: 0.372 0.122 0.250
Cs: 0.628 0.878 0.750
Ga: 0.000 0.500 0.500
Ga: 0.500 0.500 0.000
Ni: 0.000 0.000 0.500
Ni: 0.000 0.500 0.000
F: 0.071 0.434 0.263
F: 0.071 0.808 0.637
F: 0.075 0.825 0.250
F: 0.314 0.564 0.750
F: 0.329 0.192 0.763
F: 0.329 0.566 0.137
F: 0.671 0.434 0.863
F: 0.671 0.808 0.237
F: 0.686 0.436 0.250
F: 0.925 0.175 0.750
F: 0.929 0.192 0.363
F: 0.929 0.566 0.737

---

Diffraction record for Cs2MnHgF6. The X-ray diffraction stick pattern is theoretical, not measured: it uses a cell relaxed with PBE+U and a wavelength of 1.5418 Å.
Lines closer than 0.1° are merged.

Most intense lines, 2θ = 15–90°, in order of falling intensity:
d/Å  2θ/deg  I_rel
3.195  27.92  100
1.845  49.40  41
2.259  39.90  33
1.208  79.34  22
1.598  57.70  21
1.429  65.30  19
5.218  16.99  15
2.725  32.87  13
2.073  43.66  7
1.304  72.45  7

Structural model:
Lattice parameters (Å, degrees): 6.391 6.391 6.391 60.00 60.00 60.00
Sites, in units of the cell vectors:
Cs: 0.250 0.250 0.250
Cs: 0.750 0.750 0.750
Mn: 0.000 0.000 0.000
Hg: 0.500 0.500 0.500
F: 0.232 0.232 0.768
F: 0.232 0.768 0.232
F: 0.232 0.768 0.768
F: 0.768 0.232 0.232
F: 0.768 0.232 0.768
F: 0.768 0.768 0.232